(1)
This entry pairs a crystal structure of TiSb3P6O24 with its calculated XRD peak list. Radiation: copper Kα. Structure: a PBE-relaxed structure.
Intensities are scaled so that the largest is 100.

Atomic structure:
a b c (Å): 8.956 8.956 8.956
angles (deg): 58.25 58.25 58.25
Atoms (fractional coordinates):
Ti 0.000 0.000 0.000
Sb 0.284 0.284 0.284
Sb 0.498 0.498 0.498
Sb 0.785 0.785 0.785
P 0.102 0.681 0.389
P 0.179 0.607 0.891
P 0.389 0.102 0.681
P 0.607 0.891 0.179
P 0.681 0.389 0.102
P 0.891 0.179 0.607
O 0.013 0.622 0.863
O 0.060 0.204 0.423
O 0.077 0.855 0.216
O 0.127 0.508 0.368
O 0.143 0.776 0.922
O 0.204 0.423 0.060
O 0.216 0.077 0.855
O 0.274 0.655 0.415
O 0.360 0.583 0.716
O 0.368 0.127 0.508
O 0.415 0.274 0.655
O 0.423 0.060 0.204
O 0.508 0.368 0.127
O 0.563 0.924 0.702
O 0.583 0.716 0.360
O 0.622 0.863 0.013
O 0.655 0.415 0.274
O 0.702 0.563 0.924
O 0.716 0.360 0.583
O 0.776 0.922 0.143
O 0.855 0.216 0.077
O 0.863 0.013 0.622
O 0.922 0.143 0.776
O 0.924 0.702 0.563

Peak list (10 most intense, 10 to 90 degrees two-theta, by intensity)
2theta, d (Å), Rel. int.
19.8, 4.475, 100
20.4, 4.359, 70
23.7, 3.757, 65
28.6, 3.123, 64
31.7, 2.824, 57
14.2, 6.245, 46
35.4, 2.539, 28
35.7, 2.517, 27
52.2, 1.753, 21
55.8, 1.648, 20


(2)
This entry pairs a crystal structure of ZnSb2P2O10 with its calculated XRD peak list. Radiation: copper Kα. Structure: a PBE-relaxed structure.
Intensities are scaled so that the largest is 100.

Atomic structure:
a b c (Å): 9.030 7.414 10.250
angles (deg): 58.91 44.68 76.42
Atoms (fractional coordinates):
Zn 0.000 0.000 0.000
Zn 0.250 0.250 0.250
Sb 0.082 0.616 0.625
Sb 0.572 0.625 0.634
Sb 0.616 0.082 0.678
Sb 0.625 0.572 0.168
P 0.029 0.363 0.099
P 0.151 0.742 0.221
P 0.363 0.029 0.508
P 0.742 0.151 0.887
O 0.013 0.251 0.020
O 0.090 0.780 0.390
O 0.214 0.990 0.493
O 0.230 0.534 0.237
O 0.251 0.013 0.716
O 0.253 0.519 0.925
O 0.325 0.946 0.997
O 0.375 0.571 0.443
O 0.511 0.860 0.470
O 0.519 0.253 0.304
O 0.534 0.230 0.999
O 0.571 0.375 0.611
O 0.639 0.807 0.679
O 0.757 0.947 0.036
O 0.780 0.090 0.739
O 0.807 0.639 0.875
O 0.860 0.511 0.160
O 0.946 0.325 0.731
O 0.947 0.757 0.260
O 0.990 0.214 0.303

Peak list (10 most intense, 10 to 90 degrees two-theta, by intensity)
2theta, d (Å), Rel. int.
24.7, 3.603, 100
28.8, 3.097, 97
30.6, 2.921, 88
21.1, 4.209, 49
26.6, 3.350, 33
26.2, 3.405, 29
29.3, 3.051, 26
50.7, 1.801, 25
53.1, 1.725, 24
49.5, 1.840, 23


(3)
This entry pairs a crystal structure of ScPO6 with its calculated XRD peak list. Radiation: copper Kα. Structure: a PBE-relaxed structure.
Intensities are scaled so that the largest is 100.

Atomic structure:
a b c (Å): 5.579 9.967 11.110
angles (deg): 90.00 119.35 90.00
Atoms (fractional coordinates):
Sc 0.212 0.196 0.163
Sc 0.212 0.304 0.663
Sc 0.788 0.696 0.337
Sc 0.788 0.804 0.837
P 0.131 0.651 0.688
P 0.131 0.849 0.188
P 0.869 0.151 0.812
P 0.869 0.349 0.312
O 0.012 0.698 0.780
O 0.012 0.802 0.280
O 0.059 0.204 0.961
O 0.059 0.296 0.461
O 0.145 0.004 0.187
O 0.145 0.496 0.687
O 0.250 0.532 0.152
O 0.250 0.968 0.652
O 0.308 0.546 0.059
O 0.308 0.954 0.559
O 0.424 0.710 0.745
O 0.424 0.790 0.245
O 0.576 0.210 0.755
O 0.576 0.290 0.255
O 0.692 0.046 0.441
O 0.692 0.454 0.941
O 0.750 0.032 0.348
O 0.750 0.468 0.848
O 0.855 0.504 0.313
O 0.855 0.996 0.813
O 0.941 0.704 0.539
O 0.941 0.796 0.039
O 0.988 0.198 0.720
O 0.988 0.302 0.220

Peak list (10 most intense, 10 to 90 degrees two-theta, by intensity)
2theta, d (Å), Rel. int.
18.2, 4.866, 100
18.5, 4.805, 79
18.3, 4.842, 71
31.8, 2.811, 42
31.3, 2.854, 42
28.4, 3.142, 29
17.8, 4.983, 28
26.1, 3.412, 28
32.7, 2.742, 28
23.9, 3.717, 27


(4)
This entry pairs a crystal structure of ScP2O7 with its calculated XRD peak list. Radiation: copper Kα. Structure: a PBE-relaxed structure.
Intensities are scaled so that the largest is 100.

Atomic structure:
a b c (Å): 5.102 8.404 7.233
angles (deg): 90.00 110.54 90.00
Atoms (fractional coordinates):
Sc 0.208 0.000 0.221
Sc 0.792 0.500 0.779
P 0.206 0.277 0.580
P 0.409 0.671 0.034
P 0.591 0.171 0.966
P 0.794 0.777 0.420
O 0.045 0.828 0.366
O 0.127 0.188 0.385
O 0.196 0.535 0.989
O 0.267 0.832 0.023
O 0.383 0.146 0.741
O 0.393 0.422 0.588
O 0.414 0.161 0.098
O 0.586 0.661 0.902
O 0.607 0.922 0.412
O 0.617 0.646 0.259
O 0.733 0.332 0.977
O 0.804 0.035 0.011
O 0.873 0.688 0.615
O 0.955 0.328 0.634

Peak list (10 most intense, 10 to 90 degrees two-theta, by intensity)
2theta, d (Å), Rel. int.
16.8, 5.274, 100
21.4, 4.150, 79
28.3, 3.154, 64
28.5, 3.137, 56
26.3, 3.384, 29
24.9, 3.571, 27
34.0, 2.636, 18
41.9, 2.157, 18
39.1, 2.302, 14
37.6, 2.392, 13